Record 1
LaSmHo2Tm4: theoretical PXRD pattern (copper Kα), based on a crystal structure in Alexandria, relaxed with PBE.
Kinematic intensities with the Lorentz-polarization factor, no thermal factor.

Peak list (10 most intense, 2θ from 10° to 90°, sorted by position)
2theta, I_rel
30.91, 100.0
35.84, 50.6
51.54, 18.1
51.65, 17.9
61.34, 32.1
61.45, 10.6
64.37, 9.3
84.15, 9.0
86.88, 8.4
87.04, 8.2

```
LaSmHo2Tm4
1.0
6.139 -3.548 0.000
6.139 3.548 0.000
-4.093 0.000 11.550
La Sm Ho Tm
2 2 4 8
direct
0.000 0.500 0.000
0.500 0.000 0.000
0.000 0.000 0.000
0.000 0.000 0.500
0.000 0.500 0.500
0.500 0.000 0.500
0.500 0.500 0.000
0.500 0.500 0.500
0.249 0.249 0.746
0.249 0.748 0.747
0.251 0.251 0.254
0.252 0.751 0.253
0.748 0.249 0.747
0.749 0.749 0.746
0.751 0.252 0.253
0.751 0.751 0.254
```

Record 2
Ca2Ga2SnIr5: theoretical PXRD pattern (copper Kα), based on a crystal structure in Alexandria, relaxed with PBE.
Kinematic intensities with the Lorentz-polarization factor, no thermal factor.

Peak list (10 most intense, 2θ from 10° to 90°, sorted by position)
2theta, I_rel
20.29, 33.0
24.25, 34.4
35.67, 25.7
37.91, 40.8
38.04, 100.0
41.26, 22.8
41.38, 47.5
45.52, 27.1
49.69, 24.7
73.08, 22.4

```
Ca2Ga2SnIr5
1.0
9.785 0.000 0.000
0.000 9.785 0.000
0.000 0.000 3.670
Ca Ga Sn Ir
4 4 2 10
direct
0.175 0.325 0.000
0.325 0.825 0.000
0.675 0.175 0.000
0.825 0.675 0.000
0.124 0.624 0.000
0.376 0.124 0.000
0.624 0.876 0.000
0.876 0.376 0.000
0.000 0.000 0.000
0.500 0.500 0.000
0.000 0.500 0.500
0.065 0.791 0.500
0.209 0.065 0.500
0.291 0.565 0.500
0.435 0.291 0.500
0.500 0.000 0.500
0.565 0.709 0.500
0.709 0.435 0.500
0.791 0.935 0.500
0.935 0.209 0.500
```

Record 3
LaSc3Hg2: theoretical PXRD pattern (copper Kα), based on a crystal structure in Alexandria, relaxed with PBE.
Kinematic intensities with the Lorentz-polarization factor, no thermal factor.

Peak list (10 most intense, 2θ from 10° to 90°, sorted by position)
2theta, I_rel
23.60, 63.0
24.39, 84.5
33.02, 28.5
33.61, 100.0
34.77, 82.6
36.44, 51.3
43.87, 27.2
44.15, 27.1
45.33, 22.3
66.04, 21.4

```
LaSc3Hg2
1.0
4.932 0.000 0.000
0.000 9.083 0.000
0.000 0.000 6.765
La Sc Hg
2 6 4
direct
0.000 0.049 0.000
0.000 0.951 0.500
0.000 0.336 0.656
0.000 0.664 0.156
0.500 0.198 0.309
0.500 0.449 0.966
0.500 0.551 0.466
0.500 0.802 0.809
0.000 0.360 0.228
0.000 0.640 0.728
0.500 0.164 0.735
0.500 0.836 0.235
```

Record 4
LaY3Tl4: theoretical PXRD pattern (copper Kα), based on a crystal structure in Alexandria, relaxed with PBE.
Kinematic intensities with the Lorentz-polarization factor, no thermal factor.

Peak list (10 most intense, 2θ from 10° to 90°, sorted by position)
2theta, I_rel
23.06, 12.2
32.84, 50.9
32.94, 100.0
47.13, 18.7
47.43, 8.8
58.69, 38.5
58.89, 18.5
69.09, 11.5
78.44, 16.7
78.92, 7.6

```
LaY3Tl4
1.0
10.909 0.000 0.000
0.000 7.667 0.000
0.000 0.000 5.455
La Y Tl
2 6 8
direct
0.000 0.000 0.000
0.500 0.000 0.000
0.000 0.500 0.000
0.250 0.000 0.498
0.250 0.500 0.497
0.500 0.500 0.000
0.750 0.000 0.502
0.750 0.500 0.503
0.000 0.260 0.500
0.000 0.740 0.500
0.250 0.260 0.997
0.250 0.740 0.997
0.500 0.260 0.500
0.500 0.740 0.500
0.750 0.260 0.003
0.750 0.740 0.003
```

Record 5
Cu5Pt3: theoretical PXRD pattern (copper Kα), based on a crystal structure in Alexandria, relaxed with PBE.
Kinematic intensities with the Lorentz-polarization factor, no thermal factor.

Peak list (10 most intense, 2θ from 10° to 90°, sorted by position)
2theta, I_rel
20.70, 29.6
39.06, 18.2
40.98, 100.0
42.11, 30.8
48.02, 63.0
69.46, 20.4
71.05, 19.0
83.92, 12.2
84.68, 23.9
86.18, 11.5

```
Cu5Pt3
1.0
2.706 1.563 4.292
-2.706 1.563 4.292
0.000 -3.125 4.292
Cu Pt
5 3
direct
0.000 0.000 0.000
0.000 0.500 0.500
0.500 0.000 0.500
0.500 0.500 0.000
0.500 0.500 0.500
0.000 0.000 0.500
0.000 0.500 0.000
0.500 0.000 0.000
```

Record 6
Zn5Cl: theoretical PXRD pattern (copper Kα), based on a crystal structure in Alexandria, relaxed with PBE.
Kinematic intensities with the Lorentz-polarization factor, no thermal factor.

Peak list (10 most intense, 2θ from 10° to 90°, sorted by position)
2theta, I_rel
34.14, 38.4
39.68, 100.0
40.78, 22.9
54.20, 19.0
60.43, 6.8
64.86, 21.5
71.27, 8.0
73.49, 14.3
75.48, 6.6
85.51, 9.5

```
Zn5Cl
1.0
5.252 0.000 0.000
0.000 13.277 0.000
0.000 0.000 3.064
Zn Cl
10 2
direct
0.000 0.000 0.000
0.000 0.167 0.500
0.000 0.329 0.000
0.000 0.671 0.000
0.000 0.833 0.500
0.500 0.171 0.000
0.500 0.333 0.500
0.500 0.500 0.000
0.500 0.667 0.500
0.500 0.829 0.000
0.000 0.500 0.500
0.500 0.000 0.500
```